Record 1
Structure and theoretical powder diffraction line list of VInO4 (a cell relaxed with PBE+U; Cu Kα (weighted mean of Kα1 and Kα2)).
Neutral-atom scattering factors, no anomalous dispersion.

Crystal structure
```
12
Lattice="4.795 0.000 0.000 0.000 5.720 0.000 -0.229 0.000 5.024" Properties=species:S:1:pos:R:3 pbc="T T T"
V -0.057 0.999 1.256
V -0.172 4.721 3.768
In 2.226 1.732 3.768
In 2.340 3.988 1.256
O 0.790 0.547 4.788
O 0.904 5.173 2.276
O 1.109 2.147 1.949
O 0.994 3.572 4.461
O 3.572 2.147 0.562
O 3.458 3.572 3.074
O 3.663 0.547 2.748
O 3.777 5.173 0.236
```

Main lines, by angle (2θ from 15° to 90°):
4.790 Å, 2θ = 18.5°, intensity 20; 3.775 Å, 2θ = 23.6°, intensity 22; 3.672 Å, 2θ = 24.2°, intensity 33; 3.015 Å, 2θ = 29.6°, intensity 100; 2.917 Å, 2θ = 30.7°, intensity 90; 2.860 Å, 2θ = 31.3°, intensity 21; 2.512 Å, 2θ = 35.7°, intensity 23; 1.887 Å, 2θ = 48.2°, intensity 18; 1.775 Å, 2θ = 51.5°, intensity 21; 1.771 Å, 2θ = 51.6°, intensity 19

***

Record 2
Structure and theoretical powder diffraction line list of VInO4 (a cell relaxed with PBE+U; Cu Kα (weighted mean of Kα1 and Kα2)).
Neutral-atom scattering factors, no anomalous dispersion.

Crystal structure
```
12
Lattice="2.924 -4.324 0.000 2.924 4.324 0.000 0.000 0.000 6.765" Properties=species:S:1:pos:R:3 pbc="T T T"
V 2.924 3.119 5.074
V 2.924 -3.119 1.691
In 2.924 0.000 0.000
In 2.924 0.000 3.383
O 1.512 0.212 1.691
O 2.924 2.140 3.691
O 2.924 2.140 6.457
O 1.512 -0.212 5.074
O 4.335 0.212 1.691
O 2.924 -2.140 0.308
O 2.924 -2.140 3.074
O 4.335 -0.212 5.074
```

Main lines, by angle (2θ from 15° to 90°):
4.844 Å, 2θ = 18.3°, intensity 68; 4.324 Å, 2θ = 20.5°, intensity 40; 3.938 Å, 2θ = 22.6°, intensity 28; 2.924 Å, 2θ = 30.6°, intensity 37; 2.773 Å, 2θ = 32.3°, intensity 100; 2.585 Å, 2θ = 34.7°, intensity 48; 2.212 Å, 2θ = 40.8°, intensity 19; 1.969 Å, 2θ = 46.1°, intensity 28; 1.658 Å, 2θ = 55.4°, intensity 31; 1.546 Å, 2θ = 59.8°, intensity 32